Computed powder diffractogram
Compound: Ti12In3Cu
Radiation: Cu Kα, 1.54184 Å
Structure: a crystal structure in Alexandria, relaxed with PBE
Neutral-atom scattering factors, no anomalous dispersion.

Crystal structure
a = 4.133 Å, b = 4.133 Å, c = 16.369 Å
α = 90.00°, β = 90.00°, γ = 90.00°
Space group P4/mmm (No. 123)
Unique sites:
Ti  0.000  0.000  0.000 x1
Ti  0.000  0.000  0.243 x2
Ti  0.000  0.000  0.500 x1
Ti  0.000  0.500  0.115 x4
Ti  0.000  0.500  0.372 x4
In  0.500  0.500  0.243 x2
In  0.500  0.500  0.500 x1
Cu  0.500  0.500  0.000 x1

The 10 most intense peaks (10 to 90 degrees two-theta), low angle first:
d = 4.133 Å, intensity 11, hkl 1 0 0; d = 2.908 Å, intensity 10, hkl 1 0 4; d = 2.378 Å, intensity 100, hkl 1 1 4; d = 2.067 Å, intensity 33, hkl 2 0 0; d = 2.046 Å, intensity 15, hkl 0 0 8; d = 1.461 Å, intensity 10, hkl 2 2 0; d = 1.454 Å, intensity 18, hkl 2 0 8; d = 1.245 Å, intensity 22, hkl 3 1 4; d = 1.236 Å, intensity 9, hkl 1 1 12; d = 1.189 Å, intensity 9, hkl 2 2 8

***

Computed powder diffractogram
Compound: Tl2CrGaCl6
Radiation: Cu Kα, 1.54184 Å
Structure: a crystal structure in Alexandria, relaxed with PBE
Neutral-atom scattering factors, no anomalous dispersion.

Crystal structure
a = 7.172 Å, b = 7.183 Å, c = 7.187 Å
α = 62.78°, β = 62.80°, γ = 62.74°
Space group P-1 (No. 2)
Unique sites:
Tl  0.241  0.240  0.239 x2
Cr  0.000  0.000  0.000 x1
Ga  0.500  0.500  0.500 x1
Cl  0.160  0.790  0.289 x2
Cl  0.213  0.712  0.838 x2
Cl  0.288  0.162  0.791 x2

The 10 most intense peaks (10 to 90 degrees two-theta), low angle first:
d = 5.175 Å, intensity 39, hkl 1 0 1; d = 3.740 Å, intensity 100, hkl 1 -1 0; d = 3.584 Å, intensity 91, hkl 2 1 1; d = 3.035 Å, intensity 19, hkl 0 0 2; d = 3.029 Å, intensity 35, hkl 2 0 0; d = 2.588 Å, intensity 84, hkl 2 2 0; d = 2.159 Å, intensity 31, hkl -2 1 1; d = 2.128 Å, intensity 43, hkl 1 0 3; d = 1.870 Å, intensity 25, hkl 2 0 -2; d = 1.658 Å, intensity 18, hkl -1 3 2

***

Computed powder diffractogram
Compound: TbNd2SmSb4
Radiation: Cu Kα, 1.54184 Å
Structure: a crystal structure in Alexandria, relaxed with PBE
Neutral-atom scattering factors, no anomalous dispersion.

Crystal structure
a = 7.759 Å, b = 4.484 Å, c = 7.762 Å
α = 90.00°, β = 109.48°, γ = 90.00°
Space group P2/m (No. 10)
Unique sites:
Tb  0.000  0.000  0.000 x1
Nd  0.500  0.000  0.500 x1
Nd  0.500  0.500  0.000 x1
Sm  0.000  0.500  0.500 x1
Sb  0.244  0.500  0.246 x2
Sb  0.245  0.000  0.750 x2

The 10 most intense peaks (10 to 90 degrees two-theta), low angle first:
d = 3.659 Å, intensity 2, hkl 2 0 0; d = 3.169 Å, intensity 100, hkl 1 1 1; d = 2.241 Å, intensity 76, hkl 0 2 0; d = 1.911 Å, intensity 1, hkl 3 1 1; d = 1.830 Å, intensity 27, hkl 0 0 4; d = 1.584 Å, intensity 13, hkl 2 2 2; d = 1.454 Å, intensity 1, hkl 4 0 2; d = 1.417 Å, intensity 35, hkl 1 3 1; d = 1.294 Å, intensity 26, hkl 2 0 -6; d = 1.120 Å, intensity 8, hkl 0 4 0

***

Computed powder diffractogram
Compound: AcGa2Ag5
Radiation: Cu Kα, 1.54184 Å
Structure: a crystal structure in Alexandria, relaxed with PBE
Neutral-atom scattering factors, no anomalous dispersion.

Crystal structure
a = 4.299 Å, b = 7.637 Å, c = 10.356 Å
α = 90.00°, β = 90.00°, γ = 90.00°
Space group Immm (No. 71)
Unique sites:
Ac  0.000  0.000  0.000 x2
Ga  0.000  0.500  0.254 x4
Ag  0.000  0.186  0.356 x8
Ag  0.000  0.500  0.000 x2

The 10 most intense peaks (10 to 90 degrees two-theta), low angle first:
d = 3.145 Å, intensity 17, hkl 0 1 3; d = 3.035 Å, intensity 21, hkl 1 1 2; d = 2.752 Å, intensity 100, hkl 1 2 1; d = 2.692 Å, intensity 97, hkl 1 0 3; d = 2.472 Å, intensity 19, hkl 0 3 1; d = 2.190 Å, intensity 20, hkl 1 3 0; d = 2.150 Å, intensity 39, hkl 2 0 0; d = 2.143 Å, intensity 51, hkl 0 2 4; d = 2.017 Å, intensity 19, hkl 1 3 2; d = 1.518 Å, intensity 33, hkl 2 2 4

***

Computed powder diffractogram
Compound: Ba2NbO4F
Radiation: Cu Kα, 1.54184 Å
Structure: a crystal structure in Alexandria, relaxed with PBE
Neutral-atom scattering factors, no anomalous dispersion.

Crystal structure
a = 11.439 Å, b = 3.398 Å, c = 7.482 Å
α = 90.00°, β = 115.87°, γ = 90.00°
Space group C2/m (No. 12)
Unique sites:
Ba  0.183  0.000  0.194 x4
Nb  0.000  0.000  0.500 x2
O  0.098  0.500  0.448 x4
O  0.133  0.000  0.775 x4
F  0.000  0.500  0.000 x2

The 10 most intense peaks (10 to 90 degrees two-theta), low angle first:
d = 3.636 Å, intensity 100, hkl 2 0 -2; d = 3.430 Å, intensity 63, hkl 2 0 1; d = 3.227 Å, intensity 36, hkl 1 1 0; d = 3.079 Å, intensity 21, hkl 1 1 -1; d = 2.855 Å, intensity 36, hkl 4 0 -1; d = 2.766 Å, intensity 45, hkl 1 1 1; d = 2.533 Å, intensity 60, hkl 3 1 -1; d = 2.330 Å, intensity 32, hkl 3 1 -2; d = 2.244 Å, intensity 26, hkl 0 0 3; d = 1.973 Å, intensity 34, hkl 1 1 -3

***

Computed powder diffractogram
Compound: YGa3Ni3
Radiation: Cu Kα, 1.54184 Å
Structure: a crystal structure in Alexandria, relaxed with PBE
Neutral-atom scattering factors, no anomalous dispersion.

Crystal structure
a = 6.421 Å, b = 6.421 Å, c = 6.421 Å
α = 90.00°, β = 90.00°, γ = 90.00°
Space group Pm-3n (No. 223)
Unique sites:
Y  0.000  0.000  0.000 x2
Ga  0.000  0.250  0.500 x6
Ni  0.000  0.500  0.250 x6

The 10 most intense peaks (10 to 90 degrees two-theta), low angle first:
d = 4.540 Å, intensity 9, hkl 1 1 0; d = 3.211 Å, intensity 44, hkl 2 0 0; d = 2.621 Å, intensity 100, hkl 2 1 1; d = 1.854 Å, intensity 23, hkl 2 2 2; d = 1.716 Å, intensity 54, hkl 3 2 1; d = 1.605 Å, intensity 26, hkl 4 0 0; d = 1.436 Å, intensity 14, hkl 4 2 0; d = 1.369 Å, intensity 12, hkl 3 3 2; d = 1.172 Å, intensity 14, hkl 5 2 1; d = 1.135 Å, intensity 16, hkl 4 4 0

***

Computed powder diffractogram
Compound: Sm3Y5O12
Radiation: Cu Kα, 1.54184 Å
Structure: a crystal structure in Alexandria, relaxed with PBE
Neutral-atom scattering factors, no anomalous dispersion.

Crystal structure
a = 10.811 Å, b = 10.812 Å, c = 10.820 Å
α = 90.00°, β = 90.00°, γ = 90.00°
Space group I2_12_12_1 (No. 24)
Unique sites:
Sm  0.000  0.250  0.031 x4
Sm  0.250  0.251  0.252 x8
Y  0.000  0.250  0.531 x4
Y  0.031  0.500  0.750 x4
Y  0.033  0.000  0.250 x4
Y  0.250  0.032  0.500 x4
Y  0.250  0.470  0.000 x4
O  0.107  0.150  0.381 x8
O  0.109  0.353  0.878 x8
O  0.119  0.107  0.649 x8
O  0.120  0.395  0.150 x8
O  0.149  0.380  0.606 x8
O  0.152  0.118  0.110 x8

The 10 most intense peaks (10 to 90 degrees two-theta), low angle first:
d = 4.415 Å, intensity 9, hkl 1 1 2; d = 3.122 Å, intensity 100, hkl 2 2 2; d = 2.704 Å, intensity 30, hkl 0 4 0; d = 2.121 Å, intensity 7, hkl 1 3 4; d = 1.912 Å, intensity 43, hkl 4 4 0; d = 1.630 Å, intensity 33, hkl 2 6 2; d = 1.561 Å, intensity 6, hkl 4 4 4; d = 1.240 Å, intensity 10, hkl 6 6 2; d = 1.209 Å, intensity 7, hkl 4 8 0; d = 1.104 Å, intensity 7, hkl 4 8 4

***

Computed powder diffractogram
Compound: LiYTlCl5
Radiation: Cu Kα, 1.54184 Å
Structure: a crystal structure in Alexandria, relaxed with PBE
Neutral-atom scattering factors, no anomalous dispersion.

Crystal structure
a = 8.906 Å, b = 12.093 Å, c = 10.023 Å
α = 90.00°, β = 113.62°, γ = 90.00°
Space group C2/c (No. 15)
Unique sites:
Li  0.000  0.191  0.250 x4
Y  0.000  0.500  0.000 x4
Tl  0.000  0.149  0.750 x4
Cl  0.000  0.422  0.750 x4
Cl  0.107  0.302  0.111 x8
Cl  0.193  0.065  0.424 x8

The 10 most intense peaks (10 to 90 degrees two-theta), low angle first:
d = 6.591 Å, intensity 73, hkl 1 1 -1; d = 5.050 Å, intensity 51, hkl 0 2 1; d = 4.571 Å, intensity 100, hkl 1 1 -2; d = 4.080 Å, intensity 55, hkl 2 0 0; d = 3.614 Å, intensity 50, hkl 1 3 0; d = 3.219 Å, intensity 46, hkl 1 1 -3; d = 2.876 Å, intensity 57, hkl 2 2 1; d = 2.866 Å, intensity 36, hkl 3 1 -1; d = 2.255 Å, intensity 29, hkl 3 3 0; d = 1.967 Å, intensity 33, hkl 4 0 -4

***

Computed powder diffractogram
Compound: Na3PbCl6
Radiation: Cu Kα, 1.54184 Å
Structure: a crystal structure in Alexandria, relaxed with PBE
Neutral-atom scattering factors, no anomalous dispersion.

Crystal structure
a = 12.1491 Å, b = 12.1491 Å, c = 13.6383 Å
α = 90.00°, β = 90.00°, γ = 120.00°
Space group R-3 (No. 148, hexagonal axes)
Unique sites:
Na  0.0536  0.4579  0.3722 x18
Pb  0.0000  0.0000  0.0000 x3
Pb  0.0000  0.0000  0.5000 x3
Cl  0.0141  0.2183  0.8986 x18
Cl  0.0456  0.1874  0.3854 x18

The 10 most intense peaks (10 to 90 degrees two-theta), low angle first:
d = 6.075 Å, intensity 87, hkl 1 1 0; d = 5.722 Å, intensity 100, hkl 0 1 2; d = 4.165 Å, intensity 66, hkl 2 0 2; d = 3.435 Å, intensity 56, hkl 1 2 2; d = 2.683 Å, intensity 52, hkl 3 1 2; d = 2.588 Å, intensity 66, hkl 2 1 4; d = 2.296 Å, intensity 42, hkl 1 4 0; d = 2.217 Å, intensity 24, hkl 1 3 4; d = 1.908 Å, intensity 29, hkl 0 3 6; d = 1.820 Å, intensity 34, hkl 4 -2 6

***

Computed powder diffractogram
Compound: Ag3Br4
Radiation: Cu Kα, 1.54184 Å
Structure: a crystal structure in Alexandria, relaxed with PBE
Neutral-atom scattering factors, no anomalous dispersion.

Crystal structure
a = 11.690 Å, b = 11.690 Å, c = 11.690 Å
α = 90.00°, β = 90.00°, γ = 90.00°
Space group Fd-3m (No. 227, origin choice 2)
Unique sites:
Ag  0.000  0.000  0.000 x16
Ag  0.125  0.125  0.625 x8
Br  0.007  0.007  0.243 x32

The 10 most intense peaks (10 to 90 degrees two-theta), low angle first:
d = 4.133 Å, intensity 21, hkl 2 2 0; d = 3.525 Å, intensity 72, hkl 3 1 1; d = 2.922 Å, intensity 61, hkl 4 0 0; d = 2.250 Å, intensity 39, hkl 5 1 1; d = 2.066 Å, intensity 100, hkl 4 4 0; d = 1.687 Å, intensity 15, hkl 4 4 4; d = 1.522 Å, intensity 15, hkl 5 5 3; d = 1.461 Å, intensity 15, hkl 8 0 0; d = 1.307 Å, intensity 17, hkl 8 4 0; d = 1.193 Å, intensity 30, hkl 8 4 4

***

Computed powder diffractogram
Compound: Zr5CoCu
Radiation: Cu Kα, 1.54184 Å
Structure: a crystal structure in Alexandria, relaxed with PBE
Neutral-atom scattering factors, no anomalous dispersion.

Crystal structure
a = 8.105 Å, b = 6.948 Å, c = 10.367 Å
α = 90.00°, β = 105.79°, γ = 90.00°
Space group C2/c (No. 15)
Unique sites:
Zr  0.000  0.018  0.250 x4
Zr  0.126  0.348  0.553 x8
Zr  0.237  0.319  0.868 x8
Co  0.000  0.000  0.000 x4
Cu  0.000  0.406  0.250 x4

The 10 most intense peaks (10 to 90 degrees two-theta), low angle first:
d = 2.629 Å, intensity 45, hkl 2 2 -1; d = 2.594 Å, intensity 100, hkl 1 1 3; d = 2.518 Å, intensity 48, hkl 3 1 -1; d = 2.435 Å, intensity 15, hkl 3 1 0; d = 2.421 Å, intensity 70, hkl 2 0 -4; d = 2.402 Å, intensity 30, hkl 0 2 3; d = 2.220 Å, intensity 29, hkl 1 3 0; d = 2.026 Å, intensity 19, hkl 0 2 4; d = 1.726 Å, intensity 15, hkl 1 3 -4; d = 1.549 Å, intensity 15, hkl 3 3 2

***

Computed powder diffractogram
Compound: Pr4SmTe7
Radiation: Cu Kα, 1.54184 Å
Structure: a crystal structure in Alexandria, relaxed with PBE
Neutral-atom scattering factors, no anomalous dispersion.

Crystal structure
a = 14.805 Å, b = 4.387 Å, c = 13.540 Å
α = 90.00°, β = 104.51°, γ = 90.00°
Space group Cm (No. 8)
Unique sites:
Pr  0.000  0.000  0.000 x2
Pr  0.086  0.500  0.385 x2
Pr  0.186  0.000  0.765 x2
Pr  0.385  0.500  0.573 x2
Sm  0.270  0.500  0.151 x2
Te  0.047  0.500  0.623 x2
Te  0.128  0.500  0.926 x2
Te  0.147  0.000  0.226 x2
Te  0.224  0.000  0.526 x2
Te  0.348  0.500  0.791 x2
Te  0.383  0.000  0.076 x2
Te  0.422  0.500  0.355 x2

The 10 most intense peaks (10 to 90 degrees two-theta), low angle first:
d = 3.374 Å, intensity 61, hkl 2 0 3; d = 3.310 Å, intensity 46, hkl 2 0 -4; d = 3.269 Å, intensity 89, hkl 3 1 -1; d = 3.231 Å, intensity 49, hkl 3 1 0; d = 3.115 Å, intensity 100, hkl 3 1 -2; d = 3.021 Å, intensity 73, hkl 3 1 1; d = 2.838 Å, intensity 49, hkl 3 1 -3; d = 2.495 Å, intensity 52, hkl 1 1 4; d = 2.212 Å, intensity 46, hkl 6 0 -4; d = 2.193 Å, intensity 66, hkl 0 2 0